# 1
# Li4MnCo2O7
Computed X-ray powder pattern, Cu Kα (λ = 1.5418 Å). Input: the PBE+U geometry in the Materials Project.
Intensities are scaled so that the largest is 100.

Largest 10 diffraction maxima, in order of falling intensity, 2θ from 15° to 90°:
18.34°, intensity 100
41.83°, intensity 33
43.86°, intensity 28
44.78°, intensity 25
34.80°, intensity 17
36.18°, intensity 13
36.73°, intensity 12
62.29°, intensity 8
62.14°, intensity 8
62.85°, intensity 8

Structure:
Lattice parameters (Å, degrees): 2.984 7.796 11.208 79.81 82.91 81.62
Fractional positions:
Li (0.000, 0.000, 0.000)
Li (0.054, 0.219, 0.650)
Li (0.144, 0.431, 0.285)
Li (0.265, 0.861, 0.582)
Li (0.436, 0.285, 0.849)
Li (0.577, 0.713, 0.141)
Li (0.721, 0.139, 0.434)
Li (0.869, 0.558, 0.716)
Mn (0.512, 0.489, 0.506)
Mn (0.940, 0.787, 0.356)
Co (0.218, 0.643, 0.927)
Co (0.349, 0.074, 0.215)
Co (0.639, 0.939, 0.783)
Co (0.783, 0.356, 0.071)
O (0.015, 0.090, 0.821)
O (0.085, 0.341, 0.471)
O (0.186, 0.537, 0.098)
O (0.282, 0.754, 0.761)
O (0.296, 0.965, 0.387)
O (0.374, 0.182, 0.048)
O (0.461, 0.402, 0.669)
O (0.576, 0.609, 0.330)
O (0.624, 0.820, 0.951)
O (0.681, 0.016, 0.626)
O (0.713, 0.246, 0.243)
O (0.817, 0.464, 0.902)
O (0.934, 0.659, 0.527)
O (0.989, 0.901, 0.186)


# 2
# Li4MnCo2O7
Computed X-ray powder pattern, Cu Kα (λ = 1.5418 Å). Input: the PBE+U geometry in the Materials Project.
Intensities are scaled so that the largest is 100.

Largest 10 diffraction maxima, in order of falling intensity, 2θ from 15° to 90°:
18.39°, intensity 100
42.89°, intensity 30
43.43°, intensity 29
44.50°, intensity 27
64.21°, intensity 15
35.54°, intensity 15
35.71°, intensity 14
36.70°, intensity 12
37.28°, intensity 8
62.40°, intensity 8

Structure:
Lattice parameters (Å, degrees): 2.904 9.765 9.808 114.10 92.09 97.44
Fractional positions:
Li (0.000, 0.000, 0.000)
Li (0.060, 0.141, 0.792)
Li (0.210, 0.427, 0.356)
Li (0.359, 0.727, 0.939)
Li (0.500, 0.000, 0.500)
Li (0.641, 0.273, 0.061)
Li (0.790, 0.573, 0.644)
Li (0.940, 0.859, 0.208)
Mn (0.429, 0.867, 0.725)
Mn (0.571, 0.133, 0.275)
Co (0.153, 0.287, 0.571)
Co (0.285, 0.571, 0.143)
Co (0.715, 0.429, 0.857)
Co (0.847, 0.713, 0.429)
O (0.058, 0.081, 0.385)
O (0.095, 0.207, 0.192)
O (0.165, 0.364, 0.960)
O (0.264, 0.493, 0.754)
O (0.305, 0.656, 0.538)
O (0.401, 0.778, 0.329)
O (0.471, 0.944, 0.124)
O (0.529, 0.056, 0.876)
O (0.599, 0.222, 0.671)
O (0.695, 0.344, 0.462)
O (0.736, 0.507, 0.246)
O (0.835, 0.636, 0.040)
O (0.905, 0.793, 0.808)
O (0.942, 0.919, 0.615)


# 3
# Li7Mn2Co3O12
Computed X-ray powder pattern, Cu Kα (λ = 1.5418 Å). Input: the PBE+U geometry in the Materials Project.
Intensities are scaled so that the largest is 100.

Largest 10 diffraction maxima, in order of falling intensity, 2θ from 15° to 90°:
18.40°, intensity 100
43.18°, intensity 30
43.82°, intensity 29
44.09°, intensity 28
63.08°, intensity 15
35.73°, intensity 14
36.13°, intensity 13
36.38°, intensity 13
63.52°, intensity 8
63.31°, intensity 8

Structure:
Lattice parameters (Å, degrees): 5.135 5.877 7.660 100.56 96.50 107.34
Fractional positions:
Li (0.000, 0.000, 0.000)
Li (0.000, 0.170, 0.659)
Li (0.003, 0.841, 0.337)
Li (0.498, 0.248, 0.499)
Li (0.993, 0.659, 0.660)
Li (0.996, 0.334, 0.339)
Li (0.997, 0.501, 0.999)
Mn (0.493, 0.919, 0.166)
Mn (0.500, 0.085, 0.829)
Co (0.496, 0.755, 0.500)
Co (0.498, 0.575, 0.824)
Co (0.502, 0.418, 0.179)
O (0.263, 0.638, 0.242)
O (0.268, 0.962, 0.599)
O (0.269, 0.114, 0.240)
O (0.269, 0.481, 0.590)
O (0.275, 0.810, 0.922)
O (0.280, 0.287, 0.917)
O (0.712, 0.711, 0.074)
O (0.723, 0.018, 0.402)
O (0.723, 0.190, 0.079)
O (0.728, 0.885, 0.750)
O (0.733, 0.542, 0.404)
O (0.734, 0.363, 0.761)


# 4
# Li7Mn2Co3O12
Computed X-ray powder pattern, Cu Kα (λ = 1.5418 Å). Input: the PBE+U geometry in the Materials Project.
Intensities are scaled so that the largest is 100.

Largest 10 diffraction maxima, in order of falling intensity, 2θ from 15° to 90°:
18.28°, intensity 100
43.01°, intensity 59
35.64°, intensity 28
44.27°, intensity 26
63.17°, intensity 15
63.69°, intensity 14
36.34°, intensity 11
37.49°, intensity 10
56.71°, intensity 10
62.83°, intensity 8

Structure:
Lattice parameters (Å, degrees): 5.094 2.958 14.421 90.00 91.97 90.00
Fractional positions:
Li (0.000, 0.000, 0.000)
Li (0.011, 0.000, 0.514)
Li (0.173, 0.500, 0.173)
Li (0.320, 0.000, 0.354)
Li (0.484, 0.500, 0.520)
Li (0.669, 0.000, 0.679)
Li (0.831, 0.500, 0.843)
Mn (0.661, 0.000, 0.178)
Mn (0.840, 0.500, 0.351)
Co (0.162, 0.500, 0.672)
Co (0.325, 0.000, 0.845)
Co (0.494, 0.500, 0.006)
O (0.020, 0.000, 0.759)
O (0.144, 0.500, 0.420)
O (0.165, 0.500, 0.925)
O (0.330, 0.000, 0.600)
O (0.355, 0.000, 0.102)
O (0.458, 0.500, 0.757)
O (0.527, 0.500, 0.256)
O (0.643, 0.000, 0.922)
O (0.686, 0.000, 0.417)
O (0.813, 0.500, 0.108)
O (0.872, 0.500, 0.605)
O (0.965, 0.000, 0.268)


# 5
# Li7Mn2Co3O12
Computed X-ray powder pattern, Cu Kα (λ = 1.5418 Å). Input: the PBE+U geometry in the Materials Project.
Intensities are scaled so that the largest is 100.

Largest 10 diffraction maxima, in order of falling intensity, 2θ from 15° to 90°:
18.38°, intensity 100
40.96°, intensity 37
44.02°, intensity 29
45.17°, intensity 25
34.13°, intensity 20
36.96°, intensity 14
36.18°, intensity 13
61.43°, intensity 9
61.94°, intensity 9
62.66°, intensity 8

Structure:
Lattice parameters (Å, degrees): 3.026 6.007 12.385 76.54 88.34 86.08
Fractional positions:
Li (0.000, 0.000, 0.000)
Li (0.000, 0.500, 0.000)
Li (0.002, 0.166, 0.668)
Li (0.497, 0.677, 0.162)
Li (0.500, 0.000, 0.500)
Li (0.503, 0.323, 0.838)
Li (0.998, 0.834, 0.332)
Mn (0.001, 0.333, 0.331)
Mn (0.999, 0.667, 0.669)
Co (0.493, 0.158, 0.159)
Co (0.500, 0.500, 0.500)
Co (0.507, 0.842, 0.841)
O (0.004, 0.260, 0.493)
O (0.024, 0.403, 0.171)
O (0.026, 0.063, 0.834)
O (0.472, 0.427, 0.660)
O (0.475, 0.098, 0.320)
O (0.497, 0.755, 0.984)
O (0.503, 0.245, 0.016)
O (0.525, 0.902, 0.680)
O (0.528, 0.573, 0.340)
O (0.974, 0.937, 0.166)
O (0.976, 0.597, 0.829)
O (0.996, 0.740, 0.507)


# 6
# Li4MnCo2O7
Computed X-ray powder pattern, Cu Kα (λ = 1.5418 Å). Input: the PBE+U geometry in the Materials Project.
Intensities are scaled so that the largest is 100.

Largest 10 diffraction maxima, in order of falling intensity, 2θ from 15° to 90°:
18.29°, intensity 100
43.66°, intensity 55
42.99°, intensity 28
36.05°, intensity 25
62.78°, intensity 15
63.09°, intensity 14
35.51°, intensity 14
47.50°, intensity 13
57.50°, intensity 10
63.99°, intensity 8

Structure:
Lattice parameters (Å, degrees): 10.665 10.665 8.417 101.73 101.73 15.68
Fractional positions:
Li (0.000, 0.000, 0.000)
Li (0.002, 0.002, 0.493)
Li (0.140, 0.140, 0.076)
Li (0.286, 0.286, 0.636)
Li (0.434, 0.434, 0.198)
Li (0.569, 0.569, 0.798)
Li (0.716, 0.716, 0.354)
Li (0.865, 0.865, 0.930)
Mn (0.432, 0.432, 0.725)
Mn (0.715, 0.715, 0.853)
Co (0.140, 0.140, 0.557)
Co (0.289, 0.289, 0.143)
Co (0.569, 0.569, 0.257)
Co (0.860, 0.860, 0.429)
O (0.005, 0.005, 0.253)
O (0.142, 0.142, 0.325)
O (0.152, 0.152, 0.825)
O (0.278, 0.278, 0.880)
O (0.292, 0.292, 0.396)
O (0.425, 0.425, 0.477)
O (0.429, 0.429, 0.942)
O (0.575, 0.575, 0.046)
O (0.579, 0.579, 0.537)
O (0.711, 0.711, 0.620)
O (0.724, 0.724, 0.091)
O (0.853, 0.853, 0.180)
O (0.866, 0.866, 0.680)
O (0.994, 0.994, 0.744)